# 1
The following is a simulated X-ray diffraction stick pattern of DyHoBr2NCl. It was derived from a cell relaxed with PBE, using Cu Ka.

Top 10 peaks for 10° ≤ 2θ ≤ 90°, in order of rising 2θ:
10.1 deg, I 100
27.0 deg, I 38
28.3 deg, I 22
31.1 deg, I 23
31.9 deg, I 23
32.8 deg, I 30
34.1 deg, I 22
35.9 deg, I 16
42.4 deg, I 17
43.9 deg, I 13

Cell and atoms:
```
DyHoBr2NCl
1.0
9.0230 -1.9242 0.0000
9.0230 1.9242 0.0000
-6.6430 0.0000 9.4146
Dy Ho Br N Cl
2 2 4 2 2
Direct
0.0741 0.0741 0.4571 Dy
0.9259 0.9259 0.5429 Dy
0.3628 0.3628 0.2160 Ho
0.6372 0.6372 0.7840 Ho
0.1662 0.1662 0.0090 Br
0.2815 0.2815 0.3832 Br
0.7185 0.7185 0.6168 Br
0.8338 0.8338 0.9910 Br
0.0771 0.0771 0.6538 N
0.9229 0.9229 0.3462 N
0.4683 0.4683 0.7411 Cl
0.5317 0.5317 0.2589 Cl
```

# 2
The following is a simulated X-ray diffraction stick pattern of Cu7Ag3. It was derived from a cell relaxed with PBE, using Cu Ka.

Top 10 peaks for 10° ≤ 2θ ≤ 90°, in order of rising 2θ:
41.1 deg, I 100
41.3 deg, I 32
47.3 deg, I 45
49.1 deg, I 17
68.9 deg, I 7
70.4 deg, I 11
70.7 deg, I 10
83.5 deg, I 8
83.6 deg, I 14
84.0 deg, I 7

Cell and atoms:
```
Cu7Ag3
1.0
6.5576 0.0000 0.0000
0.0000 2.7267 0.0000
-1.9358 0.0000 7.6790
Cu Ag
7 3
Direct
0.0000 0.0000 0.0000 Cu
0.0802 0.5000 0.3210 Cu
0.1946 0.0000 0.5916 Cu
0.5045 0.5000 0.5294 Cu
0.6204 0.0000 0.7997 Cu
0.7983 0.0000 0.4301 Cu
0.9021 0.5000 0.7068 Cu
0.3016 0.5000 0.8919 Ag
0.3836 0.0000 0.2285 Ag
0.7090 0.5000 0.1129 Ag
```

# 3
The following is a simulated X-ray diffraction stick pattern of Cu5Ag4. It was derived from a cell relaxed with PBE, using Cu Ka.

Top 10 peaks for 10° ≤ 2θ ≤ 90°, in order of rising 2θ:
34.6 deg, I 31
40.1 deg, I 72
40.7 deg, I 100
41.0 deg, I 19
45.9 deg, I 48
49.2 deg, I 28
65.9 deg, I 11
69.6 deg, I 25
73.2 deg, I 12
81.8 deg, I 16

Cell and atoms:
```
Cu5Ag4
1.0
-1.3826 1.8503 12.7488
1.3826 -1.8503 12.7488
1.3826 1.8503 -12.7488
Cu Ag
5 4
Direct
0.0000 0.0000 0.0000 Cu
0.0961 0.0961 0.0000 Cu
0.4517 0.4517 0.0000 Cu
0.5483 0.5483 0.0000 Cu
0.9039 0.9039 0.0000 Cu
0.2173 0.2173 0.0000 Ag
0.3478 0.3478 0.0000 Ag
0.6522 0.6522 0.0000 Ag
0.7827 0.7827 0.0000 Ag
```

# 4
The following is a simulated X-ray diffraction stick pattern of HfSi4Pt3. It was derived from a cell relaxed with PBE, using Cu Ka.

Top 10 peaks for 10° ≤ 2θ ≤ 90°, in order of rising 2θ:
16.8 deg, I 58
29.2 deg, I 79
30.1 deg, I 43
32.1 deg, I 41
37.7 deg, I 44
38.5 deg, I 100
39.3 deg, I 32
40.3 deg, I 50
46.8 deg, I 31
48.7 deg, I 73

Cell and atoms:
```
HfSi4Pt3
1.0
5.6062 0.0000 0.0000
0.0000 3.7458 0.0000
-2.1665 0.0000 5.9897
Hf Si Pt
1 4 3
Direct
0.0000 0.0000 0.0000 Hf
0.0969 0.5000 0.7273 Si
0.2548 0.0000 0.4592 Si
0.3444 0.5000 0.2428 Si
0.4787 0.0000 0.9735 Si
0.5177 0.5000 0.6739 Pt
0.7388 0.5000 0.1743 Pt
0.8554 0.0000 0.5223 Pt
```